TlSnAu3S4: computed PXRD pattern (copper Kα), based on a crystal structure in OQMD, relaxed with PBE.

Cell lengths 6.235, 7.438, 10.475 Å; angles 90.00, 101.33, 90.00 degrees
Fractional positions:
Tl: 0.166 0.250 0.385
Tl: 0.834 0.750 0.615
Sn: 0.080 0.250 0.778
Sn: 0.920 0.750 0.222
Au: 0.371 0.554 0.099
Au: 0.371 0.946 0.099
Au: 0.496 0.250 0.640
Au: 0.504 0.750 0.360
Au: 0.629 0.054 0.901
Au: 0.629 0.446 0.901
S: 0.067 0.750 0.017
S: 0.167 0.750 0.432
S: 0.304 0.516 0.751
S: 0.304 0.984 0.751
S: 0.696 0.016 0.249
S: 0.696 0.484 0.249
S: 0.833 0.250 0.568
S: 0.933 0.250 0.983

Largest 10 diffraction maxima, in order of rising 2θ, 2θ = 10–90°:
2θ 14.49, I 38.9, (1 0 0); 2θ 14.70, I 73.2, (0 1 1); 2θ 19.46, I 85.4, (1 1 -1); 2θ 25.47, I 100.0, (0 2 1); 2θ 27.24, I 41.8, (1 0 -3); 2θ 30.97, I 53.1, (2 0 -2); 2θ 31.60, I 61.3, (1 2 -2); 2θ 32.38, I 42.9, (1 0 3); 2θ 34.65, I 70.6, (1 2 2); 2θ 43.11, I 53.1, (2 2 -3)